Ho15ErIn4: theoretical X-ray powder pattern (Cu Kα, 1.54184 Å), based on a cell relaxed with PBE.
Kinematic intensities with the Lorentz-polarization factor, no thermal factor.

Cell and atoms:
a b c (Å): 4.834 4.834 24.519
angles (deg): 90.00 90.00 90.00
Fractional coordinates of all 20 atoms:
Ho1 0.000 0.000 0.000
Ho2 0.000 0.000 0.204
Ho3 0.000 0.000 0.402
Ho4 0.000 0.000 0.598
Ho5 0.000 0.000 0.796
Ho6 0.000 0.500 0.104
Ho7 0.000 0.500 0.303
Ho8 0.000 0.500 0.500
Ho9 0.000 0.500 0.697
Ho10 0.000 0.500 0.896
Ho11 0.500 0.000 0.104
Ho12 0.500 0.000 0.303
Ho13 0.500 0.000 0.500
Ho14 0.500 0.000 0.697
Ho15 0.500 0.000 0.896
Er1 0.500 0.500 0.000
In1 0.500 0.500 0.206
In2 0.500 0.500 0.402
In3 0.500 0.500 0.598
In4 0.500 0.500 0.794

Principal peaks in the range 10 to 80 degrees two-theta, low angle first:
31.9°, rel. 100.0; 36.7°, rel. 16.7; 37.2°, rel. 33.5; 53.2°, rel. 23.0; 53.6°, rel. 11.7; 63.0°, rel. 13.1; 63.8°, rel. 27.4; 66.7°, rel. 11.6; 77.9°, rel. 1.7; 79.3°, rel. 3.7


LaTbDy2Ho4: theoretical X-ray powder pattern (Cu Kα, 1.54184 Å), based on a cell relaxed with PBE.
Kinematic intensities with the Lorentz-polarization factor, no thermal factor.

Cell and atoms:
a b c (Å): 7.145 7.146 11.504
angles (deg): 90.01 90.03 119.85
Fractional coordinates of all 16 atoms:
La1 0.000 0.000 0.000
La2 0.500 0.500 0.000
Tb1 0.000 0.000 0.500
Tb2 0.000 0.500 0.000
Dy1 0.000 0.500 0.500
Dy2 0.500 0.000 0.000
Dy3 0.500 0.000 0.500
Dy4 0.500 0.500 0.500
Ho1 0.167 0.333 0.747
Ho2 0.167 0.833 0.747
Ho3 0.333 0.167 0.252
Ho4 0.333 0.667 0.252
Ho5 0.667 0.333 0.747
Ho6 0.667 0.833 0.747
Ho7 0.833 0.167 0.252
Ho8 0.833 0.667 0.252

Principal peaks in the range 10 to 80 degrees two-theta, low angle first:
29.9°, rel. 46.1; 31.1°, rel. 34.8; 32.8°, rel. 100.0; 37.3°, rel. 25.6; 49.3°, rel. 11.5; 51.1°, rel. 17.5; 56.4°, rel. 21.5; 61.0°, rel. 10.3; 61.1°, rel. 20.4; 62.0°, rel. 10.7


Pr3Nd2Pd2: theoretical X-ray powder pattern (Cu Kα, 1.54184 Å), based on a cell relaxed with PBE.
Kinematic intensities with the Lorentz-polarization factor, no thermal factor.

Cell and atoms:
a b c (Å): 6.623 6.623 9.328
angles (deg): 113.83 113.83 34.37
Fractional coordinates of all 7 atoms:
Pr1 0.000 0.000 0.000
Pr2 0.116 0.116 0.440
Pr3 0.884 0.884 0.560
Nd1 0.341 0.341 0.189
Nd2 0.659 0.659 0.811
Pd1 0.334 0.334 0.772
Pd2 0.666 0.666 0.228

Principal peaks in the range 10 to 80 degrees two-theta, low angle first:
28.8°, rel. 21.7; 29.8°, rel. 45.1; 31.2°, rel. 100.0; 32.7°, rel. 32.6; 33.2°, rel. 36.9; 33.9°, rel. 24.4; 34.3°, rel. 34.6; 37.4°, rel. 22.3; 46.4°, rel. 26.9; 57.0°, rel. 18.6


Pm2Sc2Sb2C: theoretical X-ray powder pattern (Cu Kα, 1.54184 Å), based on a cell relaxed with PBE.
Kinematic intensities with the Lorentz-polarization factor, no thermal factor.

Cell and atoms:
a b c (Å): 8.673 8.673 8.673
angles (deg): 149.71 149.71 43.36
Fractional coordinates of all 7 atoms:
Pm1 0.163 0.163 0.000
Pm2 0.837 0.837 0.000
Sc1 0.000 0.500 0.500
Sc2 0.500 0.000 0.500
Sb1 0.366 0.366 0.000
Sb2 0.634 0.634 0.000
C1 0.000 0.000 0.000

Principal peaks in the range 10 to 80 degrees two-theta, low angle first:
22.1°, rel. 33.4; 27.8°, rel. 86.3; 30.0°, rel. 39.7; 33.4°, rel. 28.5; 34.1°, rel. 29.6; 35.8°, rel. 100.0; 39.8°, rel. 64.0; 52.9°, rel. 29.7; 57.5°, rel. 21.1; 69.6°, rel. 27.6


CsGaCl4: theoretical X-ray powder pattern (Cu Kα, 1.54184 Å), based on a cell relaxed with PBE.
Kinematic intensities with the Lorentz-polarization factor, no thermal factor.

Cell and atoms:
a b c (Å): 10.384 6.655 7.060
angles (deg): 90.00 90.00 90.00
Fractional coordinates of all 12 atoms:
Cs1 0.000 0.233 0.000
Cs2 0.500 0.767 0.500
Ga1 0.000 0.679 0.502
Ga2 0.500 0.321 0.002
Cl1 0.000 0.347 0.518
Cl2 0.000 0.750 0.196
Cl3 0.170 0.800 0.649
Cl4 0.330 0.200 0.149
Cl5 0.500 0.250 0.696
Cl6 0.500 0.653 0.018
Cl7 0.670 0.200 0.149
Cl8 0.830 0.800 0.649

Principal peaks in the range 10 to 80 degrees two-theta, low angle first:
17.1°, rel. 88.1; 18.3°, rel. 100.0; 25.2°, rel. 80.8; 26.8°, rel. 41.9; 29.9°, rel. 30.5; 30.6°, rel. 36.2; 31.9°, rel. 23.9; 39.4°, rel. 16.6; 41.1°, rel. 18.0; 44.4°, rel. 29.9


Tb5HoEr5: theoretical X-ray powder pattern (Cu Kα, 1.54184 Å), based on a cell relaxed with PBE.
Kinematic intensities with the Lorentz-polarization factor, no thermal factor.

Cell and atoms:
a b c (Å): 6.813 6.897 8.261
angles (deg): 75.92 76.73 72.21
Fractional coordinates of all 11 atoms:
Tb1 0.000 0.000 0.000
Tb2 0.155 0.134 0.358
Tb3 0.324 0.271 0.654
Tb4 0.676 0.729 0.346
Tb5 0.845 0.866 0.642
Ho1 0.000 0.500 0.000
Er1 0.210 0.640 0.311
Er2 0.353 0.749 0.721
Er3 0.500 0.000 0.000
Er4 0.647 0.251 0.279
Er5 0.790 0.360 0.689

Principal peaks in the range 10 to 80 degrees two-theta, low angle first:
31.9°, rel. 100.0; 32.4°, rel. 100.0; 32.6°, rel. 18.5; 32.9°, rel. 50.5; 34.1°, rel. 42.3; 34.3°, rel. 17.3; 44.9°, rel. 14.8; 46.5°, rel. 11.9; 48.8°, rel. 14.5; 57.2°, rel. 17.6


AcDy2Ho12: theoretical X-ray powder pattern (Cu Kα, 1.54184 Å), based on a cell relaxed with PBE.
Kinematic intensities with the Lorentz-polarization factor, no thermal factor.

Cell and atoms:
a b c (Å): 3.575 5.570 24.362
angles (deg): 90.00 94.16 90.00
Fractional coordinates of all 15 atoms:
Ac1 0.000 0.000 0.000
Dy1 0.365 0.000 0.725
Dy2 0.635 0.000 0.275
Ho1 0.070 0.000 0.143
Ho2 0.099 0.500 0.205
Ho3 0.165 0.500 0.332
Ho4 0.216 0.000 0.427
Ho5 0.275 0.500 0.554
Ho6 0.462 0.500 0.921
Ho7 0.538 0.500 0.079
Ho8 0.725 0.500 0.446
Ho9 0.784 0.000 0.573
Ho10 0.835 0.500 0.668
Ho11 0.901 0.500 0.795
Ho12 0.930 0.000 0.857

Principal peaks in the range 10 to 80 degrees two-theta, low angle first:
30.2°, rel. 35.6; 30.3°, rel. 63.9; 31.1°, rel. 38.8; 32.2°, rel. 100.0; 32.4°, rel. 55.2; 33.6°, rel. 22.8; 46.1°, rel. 29.0; 56.2°, rel. 18.7; 60.6°, rel. 19.9; 61.7°, rel. 19.1


Ce4Br2Cl5: theoretical X-ray powder pattern (Cu Kα, 1.54184 Å), based on a cell relaxed with PBE.
Kinematic intensities with the Lorentz-polarization factor, no thermal factor.

Cell and atoms:
a b c (Å): 11.876 11.876 7.661
angles (deg): 102.19 102.19 18.24
Fractional coordinates of all 11 atoms:
Ce1 0.034 0.034 0.295
Ce2 0.323 0.323 0.564
Ce3 0.677 0.677 0.436
Ce4 0.966 0.966 0.705
Br1 0.429 0.429 0.378
Br2 0.571 0.571 0.622
Cl1 0.136 0.136 0.155
Cl2 0.221 0.221 0.714
Cl3 0.500 0.500 0.000
Cl4 0.779 0.779 0.286
Cl5 0.864 0.864 0.845

Principal peaks in the range 10 to 80 degrees two-theta, low angle first:
11.8°, rel. 100.0; 12.7°, rel. 24.4; 26.4°, rel. 24.2; 30.0°, rel. 81.5; 31.0°, rel. 53.6; 31.2°, rel. 17.5; 34.6°, rel. 38.3; 36.5°, rel. 53.2; 42.5°, rel. 19.3; 50.0°, rel. 21.3


NiSbCl2: theoretical X-ray powder pattern (Cu Kα, 1.54184 Å), based on a cell relaxed with PBE.
Kinematic intensities with the Lorentz-polarization factor, no thermal factor.

Cell and atoms:
a b c (Å): 3.457 4.965 5.343
angles (deg): 104.70 90.28 91.94
Fractional coordinates of all 4 atoms:
Ni1 0.000 0.000 0.000
Sb1 0.486 0.776 0.668
Cl1 0.009 0.453 0.956
Cl2 0.510 0.092 0.330

Principal peaks in the range 10 to 80 degrees two-theta, low angle first:
17.2°, rel. 61.0; 18.5°, rel. 98.5; 21.8°, rel. 80.6; 28.4°, rel. 45.7; 30.9°, rel. 61.9; 31.3°, rel. 100.0; 37.1°, rel. 70.0; 38.1°, rel. 38.4; 43.8°, rel. 43.0; 44.1°, rel. 52.3


Nd6Dy3Mg: theoretical X-ray powder pattern (Cu Kα, 1.54184 Å), based on a cell relaxed with PBE.
Kinematic intensities with the Lorentz-polarization factor, no thermal factor.

Cell and atoms:
a b c (Å): 5.357 10.516 13.117
angles (deg): 90.00 114.06 90.00
Fractional coordinates of all 20 atoms:
Nd1 0.081 0.174 0.081
Nd2 0.081 0.326 0.581
Nd3 0.251 0.568 0.250
Nd4 0.251 0.932 0.750
Nd5 0.387 0.212 0.387
Nd6 0.387 0.288 0.887
Nd7 0.613 0.712 0.113
Nd8 0.613 0.788 0.613
Nd9 0.749 0.068 0.250
Nd10 0.749 0.432 0.750
Nd11 0.919 0.674 0.419
Nd12 0.919 0.826 0.919
Dy1 0.000 0.000 0.500
Dy2 0.000 0.500 0.000
Dy3 0.284 0.620 0.784
Dy4 0.284 0.880 0.284
Dy5 0.716 0.120 0.716
Dy6 0.716 0.380 0.216
Mg1 0.500 0.000 0.000
Mg2 0.500 0.500 0.500

Principal peaks in the range 10 to 80 degrees two-theta, low angle first:
27.9°, rel. 22.0; 28.1°, rel. 20.4; 29.2°, rel. 100.0; 30.5°, rel. 64.1; 31.4°, rel. 61.0; 33.5°, rel. 52.7; 34.5°, rel. 25.8; 35.4°, rel. 18.5; 48.8°, rel. 20.8; 54.6°, rel. 17.2


Zr3Te5: theoretical X-ray powder pattern (Cu Kα, 1.54184 Å), based on a cell relaxed with PBE.
Kinematic intensities with the Lorentz-polarization factor, no thermal factor.

Cell and atoms:
a b c (Å): 8.632 8.632 8.627
angles (deg): 98.57 98.57 134.55
Fractional coordinates of all 16 atoms:
Zr1 0.000 0.000 0.000
Zr2 0.165 0.500 0.666
Zr3 0.216 0.716 0.166
Zr4 0.500 0.165 0.666
Zr5 0.663 0.663 0.330
Zr6 0.716 0.216 0.166
Te1 0.034 0.669 0.451
Te2 0.117 0.117 0.665
Te3 0.169 0.384 0.301
Te4 0.250 0.885 0.881
Te5 0.384 0.169 0.301
Te6 0.534 0.750 0.030
Te7 0.618 0.618 0.666
Te8 0.669 0.034 0.451
Te9 0.750 0.534 0.030
Te10 0.885 0.250 0.881

Principal peaks in the range 10 to 80 degrees two-theta, low angle first:
22.1°, rel. 21.6; 26.7°, rel. 17.9; 31.2°, rel. 32.1; 31.6°, rel. 49.9; 35.1°, rel. 45.1; 35.5°, rel. 100.0; 35.7°, rel. 43.7; 36.9°, rel. 38.3; 44.6°, rel. 18.9; 64.9°, rel. 16.0


Ba3PmTm3Se8: theoretical X-ray powder pattern (Cu Kα, 1.54184 Å), based on a cell relaxed with PBE.
Kinematic intensities with the Lorentz-polarization factor, no thermal factor.

Cell and atoms:
a b c (Å): 8.926 8.926 8.926
angles (deg): 56.08 56.08 56.08
Fractional coordinates of all 15 atoms:
Ba1 0.000 0.500 0.500
Ba2 0.500 0.000 0.500
Ba3 0.500 0.500 0.000
Pm1 0.500 0.500 0.500
Tm1 0.000 0.000 0.500
Tm2 0.000 0.500 0.000
Tm3 0.500 0.000 0.000
Se1 0.225 0.744 0.744
Se2 0.236 0.236 0.236
Se3 0.256 0.256 0.775
Se4 0.256 0.775 0.256
Se5 0.744 0.225 0.744
Se6 0.744 0.744 0.225
Se7 0.764 0.764 0.764
Se8 0.775 0.256 0.256

Principal peaks in the range 10 to 80 degrees two-theta, low angle first:
11.8°, rel. 16.6; 25.8°, rel. 8.6; 29.3°, rel. 100.0; 40.6°, rel. 36.5; 43.1°, rel. 35.6; 53.0°, rel. 18.6; 60.7°, rel. 11.0; 66.9°, rel. 13.6; 70.6°, rel. 15.6; 77.3°, rel. 10.9


Q: What is the formula in the tenth record?
A: Nd6Dy3Mg